# K2HfAsS4
Calculated powder X-ray diffraction pattern, a wavelength of 1.5418 Å. Input: a GGA-PBE-relaxed structure.

Most intense lines, 2θ from 15° to 90°, by angle:
hkl  Position (°2θ)  I_rel
1 1 1  17.56  25.1
0 2 6  24.82  100.0
0 4 4  28.64  23.5
1 3 5  30.54  42.1
2 2 0  34.77  29.2
2 2 4  37.76  24.8
0 4 8  38.30  34.1
2 0 6  39.21  36.6
2 4 2  41.84  31.2
0 6 6  43.57  26.2

Cell and atoms:
Unit cell a=5.526 b=14.417 c=24.824 alpha=90.00 beta=90.00 gamma=90.00
Space group Fddd (No. 70, origin choice 2)
Asymmetric unit:
1 K 0.125 0.125 0.298 [16 per cell]
2 Hf 0.125 0.125 0.125 [8 per cell]
3 As 0.125 0.125 0.625 [8 per cell]
4 S 0.099 0.269 0.434 [32 per cell]

---

# Na5In3Sn3
Calculated powder X-ray diffraction pattern, a wavelength of 1.5418 Å. Input: a GGA-PBE-relaxed structure.

Most intense lines, 2θ from 15° to 90°, by angle:
hkl  Position (°2θ)  I_rel
1 1 0  17.89  100.0
2 0 0  20.68  32.4
2 0 1  27.56  63.6
3 0 0  31.24  19.9
3 0 1  36.30  63.2
0 0 2  36.55  20.3
2 2 1  40.76  37.4
1 1 2  40.97  25.2
4 1 1  52.24  23.3
3 3 1  58.95  17.0

Cell and atoms:
Unit cell a=9.9167 b=9.9167 c=4.9175 alpha=90.00 beta=90.00 gamma=120.00
Space group P-62m (No. 189)
Asymmetric unit:
1 Na 0.0000 0.2912 0.0000 [3 per cell]
2 Na 0.3333 0.6667 0.0000 [2 per cell]
3 In 0.0000 0.5287 0.5000 [3 per cell]
4 Sn 0.0000 0.6654 0.0000 [3 per cell]

---

# Pr3Dy4Ag4
Calculated powder X-ray diffraction pattern, a wavelength of 1.5418 Å. Input: a GGA-PBE-relaxed structure.

Most intense lines, 2θ from 15° to 90°, by angle:
hkl  Position (°2θ)  I_rel
1 2 1  29.65  100.0
0 1 5  30.26  27.2
1 1 4  30.78  45.3
1 0 5  33.15  17.7
0 0 6  33.69  50.2
2 0 0  35.51  48.7
1 2 5  40.76  25.1
1 3 2  40.95  16.1
2 1 5  47.33  15.6
4 0 0  75.11  16.1

Cell and atoms:
Unit cell a=5.056 b=7.718 c=15.986 alpha=90.00 beta=90.00 gamma=90.00
Space group Immm (No. 71)
Asymmetric unit:
1 Pr 0.000 0.000 0.000 [2 per cell]
2 Pr 0.000 0.500 0.106 [4 per cell]
3 Dy 0.000 0.282 0.325 [8 per cell]
4 Ag 0.000 0.000 0.202 [4 per cell]
5 Ag 0.000 0.186 0.500 [4 per cell]

---

# Ca3Hg2Bi3
Calculated powder X-ray diffraction pattern, a wavelength of 1.5418 Å. Input: a GGA-PBE-relaxed structure.

Most intense lines, 2θ from 15° to 90°, by angle:
hkl  Position (°2θ)  I_rel
1 1 1  21.62  44.7
1 1 4  28.88  100.0
0 4 1  29.71  31.5
1 3 3  33.19  50.9
0 4 4  35.46  43.2
1 3 4  35.74  36.1
2 0 0  40.10  33.9
1 5 0  42.14  30.8
2 4 4  54.57  31.6
2 0 8  57.66  31.6

Cell and atoms:
Unit cell a=4.497 b=12.195 c=18.173 alpha=90.00 beta=90.00 gamma=90.00
Space group Cmcm (No. 63)
Asymmetric unit:
1 Ca 0.000 0.041 0.119 [8 per cell]
2 Ca 0.000 0.312 0.250 [4 per cell]
3 Hg 0.000 0.214 0.629 [8 per cell]
4 Bi 0.000 0.373 0.013 [8 per cell]
5 Bi 0.000 0.419 0.750 [4 per cell]

---

# Li6MgSi2
Calculated powder X-ray diffraction pattern, a wavelength of 1.5418 Å. Input: a GGA-PBE-relaxed structure.

Most intense lines, 2θ from 15° to 90°, by angle:
hkl  Position (°2θ)  I_rel
1 1 0  15.90  57.7
2 1 0  25.35  60.6
1 1 1  26.00  80.5
1 2 1  32.64  72.7
2 1 1  32.78  20.2
0 3 1  39.93  45.4
3 0 1  40.27  100.0
2 3 0  41.19  30.9
0 0 2  41.60  99.4
3 3 0  49.02  22.7

Cell and atoms:
Unit cell a=7.840 b=7.929 c=4.344 alpha=90.00 beta=90.00 gamma=90.00
Space group Pnnm (No. 58)
Asymmetric unit:
1 Li 0.021 0.174 0.000 [4 per cell]
2 Li 0.160 0.067 0.500 [4 per cell]
3 Li 0.191 0.384 0.500 [4 per cell]
4 Mg 0.000 0.500 0.000 [2 per cell]
5 Si 0.148 0.724 0.500 [4 per cell]

---

# BaMgBr
Calculated powder X-ray diffraction pattern, a wavelength of 1.5418 Å. Input: a GGA-PBE-relaxed structure.

Most intense lines, 2θ from 15° to 90°, by angle:
hkl  Position (°2θ)  I_rel
1 1 1  24.86  100.0
2 0 0  30.26  72.7
2 0 -1  32.95  37.3
1 1 -2  33.52  95.7
2 2 0  43.33  26.7
2 2 -1  45.34  15.1
3 1 1  50.60  28.1
3 1 -2  55.80  21.8
1 3 2  55.93  21.4
4 2 0  71.42  14.2

Cell and atoms:
Unit cell a=5.906 b=5.907 c=6.961 alpha=90.00 beta=90.22 gamma=90.00
Space group Cm (No. 8)
Asymmetric unit:
1 Ba 0.000 0.000 0.000 [2 per cell]
2 Mg 0.498 0.000 0.647 [2 per cell]
3 Br 0.000 0.500 0.240 [2 per cell]

---

# CrGeHPb2
Calculated powder X-ray diffraction pattern, a wavelength of 1.5418 Å. Input: a GGA-PBE-relaxed structure.

Most intense lines, 2θ from 15° to 90°, by angle:
hkl  Position (°2θ)  I_rel
1 1 0  22.18  60.4
0 0 1  25.98  50.8
2 0 0  31.57  100.0
1 1 1  34.42  82.8
2 0 1  41.33  61.8
2 2 0  45.25  37.3
2 2 1  52.92  30.8
3 1 1  58.07  37.4
2 0 2  63.39  27.3
4 2 1  80.85  19.1

Cell and atoms:
Unit cell a=5.668 b=5.668 c=3.430 alpha=90.00 beta=90.00 gamma=90.00
Space group P4/mmm (No. 123)
Asymmetric unit:
1 Cr 0.000 0.000 0.000 [1 per cell]
2 Ge 0.500 0.500 0.500 [1 per cell]
3 H 0.500 0.500 0.000 [1 per cell]
4 Pb 0.000 0.500 0.500 [2 per cell]

---

# Sr2AlGa3
Calculated powder X-ray diffraction pattern, a wavelength of 1.5418 Å. Input: a GGA-PBE-relaxed structure.

Most intense lines, 2θ from 15° to 90°, by angle:
hkl  Position (°2θ)  I_rel
2 2 2  29.99  100.0
0 4 0  37.43  18.2
4 0 0  41.16  41.7
0 2 8  51.76  21.1
4 4 0  56.85  31.6
2 6 2  62.98  11.6
4 2 8  68.17  18.3
6 0 6  74.98  4.6
0 6 8  78.05  6.4
6 4 6  86.95  6.3

Cell and atoms:
Unit cell a=8.779 b=9.610 c=15.181 alpha=90.00 beta=90.00 gamma=90.00
Space group Fmmm (No. 69)
Asymmetric unit:
1 Sr 0.000 0.247 0.000 [8 per cell]
2 Sr 0.250 0.250 0.250 [8 per cell]
3 Al 0.000 0.000 0.333 [8 per cell]
4 Ga 0.000 0.000 0.166 [8 per cell]
5 Ga 0.249 0.000 0.083 [16 per cell]

---

# K2SnS3
Calculated powder X-ray diffraction pattern, a wavelength of 1.5418 Å. Input: a GGA-PBE-relaxed structure.

Most intense lines, 2θ from 15° to 90°, by angle:
hkl  Position (°2θ)  I_rel
1 1 2  18.27  100.0
2 0 0  25.40  60.0
1 3 2  25.57  53.6
1 1 4  27.28  42.4
0 2 5  31.85  22.9
2 0 -4  34.70  24.4
1 5 2  36.21  17.7
2 4 2  38.01  19.8
4 0 0  52.16  19.0
0 6 6  52.89  20.7

Cell and atoms:
Unit cell a=7.013 b=14.137 c=15.311 alpha=90.00 beta=90.05 gamma=90.00
Space group C2/c (No. 15)
Asymmetric unit:
1 K 0.250 0.112 0.064 [8 per cell]
2 K 0.250 0.212 0.647 [8 per cell]
3 Sn 0.250 0.001 0.839 [8 per cell]
4 S 0.000 0.078 0.250 [4 per cell]
5 S 0.000 0.422 0.750 [4 per cell]
6 S 0.250 0.094 0.467 [8 per cell]
7 S 0.250 0.167 0.851 [8 per cell]

---

# K3AlBi3Se8
Calculated powder X-ray diffraction pattern, a wavelength of 1.5418 Å. Input: a GGA-PBE-relaxed structure.

Most intense lines, 2θ from 15° to 90°, by angle:
hkl  Position (°2θ)  I_rel
4 0 -1  25.15  16.4
4 0 0  29.01  100.0
4 0 1  36.18  28.7
2 2 2  39.06  33.9
0 4 0  43.81  32.8
0 4 1  45.31  21.7
2 2 3  48.69  16.4
4 4 0  53.40  16.0
8 0 0  60.12  9.4
6 2 3  74.80  9.1

Cell and atoms:
Unit cell a=14.331 b=8.258 c=9.355 alpha=90.00 beta=120.73 gamma=90.00
Space group C2/m (No. 12)
Asymmetric unit:
1 K 0.000 0.000 0.000 [2 per cell]
2 K 0.250 0.250 0.000 [4 per cell]
3 Al 0.000 0.000 0.500 [2 per cell]
4 Bi 0.000 0.500 0.500 [2 per cell]
5 Bi 0.250 0.250 0.500 [4 per cell]
6 Se 0.010 0.222 0.309 [8 per cell]
7 Se 0.212 0.000 0.691 [4 per cell]
8 Se 0.238 0.500 0.714 [4 per cell]

---

# NbSe2Br8
Calculated powder X-ray diffraction pattern, a wavelength of 1.5418 Å. Input: a GGA-PBE-relaxed structure.

Most intense lines, 2θ from 15° to 90°, by angle:
hkl  Position (°2θ)  I_rel
0 2 0  15.79  100.0
0 2 1  18.42  30.0
1 1 -2  20.06  37.9
2 0 1  25.54  26.9
1 3 1  28.88  34.4
1 3 -2  30.24  76.3
2 0 2  32.64  54.7
2 2 -3  33.61  37.7
3 3 -3  42.92  42.9
2 4 -3  43.97  24.8

Cell and atoms:
Unit cell a=9.008 b=11.228 c=9.908 alpha=90.00 beta=108.85 gamma=90.00
Space group C2/m (No. 12)
Asymmetric unit:
1 Nb 0.000 0.000 0.000 [2 per cell]
2 Se 0.085 0.000 0.429 [4 per cell]
3 Br 0.097 0.159 0.867 [8 per cell]
4 Br 0.183 0.500 0.378 [4 per cell]
5 Br 0.233 0.500 0.799 [4 per cell]